Rb2PtI6: calculated PXRD pattern (copper Kα), based on a structure optimized by DFT (PBE).

Top 10 peaks for 2θ from 10° to 90°, by angle:
2θ/deg, I_rel, (hkl)
13.39, 76.3, 1 0 1
14.74, 18.0, 0 0 2
15.83, 23.3, 1 1 0
26.24, 18.0, 2 1 1
26.97, 100.0, 2 0 2
29.73, 49.4, 0 0 4
31.97, 73.0, 2 2 0
44.22, 53.6, 2 2 4
45.84, 21.6, 4 0 0
55.60, 21.9, 4 0 4

Atomic structure:
```
data_Rb2PtI6
_chemical_formula_sum 'Rb4 Pt2 I12'
_cell_length_a 7.918
_cell_length_b 7.918
_cell_length_c 12.020
_cell_angle_alpha 90.00
_cell_angle_beta 90.00
_cell_angle_gamma 90.00
_space_group_name_H-M_alt 'P 4/m n c'
_space_group_IT_number 128
_space_group_name_Hall '-P 4 2n'
loop_
_atom_site_label
_atom_site_type_symbol
_atom_site_fract_x
_atom_site_fract_y
_atom_site_fract_z
Rb1 Rb 0.000 0.500 0.250
Pt1 Pt 0.000 0.000 0.000
I1 I 0.000 0.000 0.225
I2 I 0.204 0.276 0.000
```

Rb2PtI4: calculated PXRD pattern (copper Kα), based on a structure optimized by DFT (PBE).

Top 10 peaks for 2θ from 10° to 90°, by angle:
2θ/deg, I_rel, (hkl)
13.99, 99.7, 1 0 1
16.76, 43.8, 1 1 0
18.36, 63.7, 1 1 1
23.78, 35.7, 2 0 0
27.70, 40.3, 2 1 1
28.19, 100.0, 2 0 2
30.12, 48.1, 0 0 4
33.89, 81.0, 2 2 0
38.78, 32.5, 2 0 4
45.96, 59.8, 2 2 4

Atomic structure:
```
data_Rb2PtI4
_chemical_formula_sum 'Rb4 Pt2 I8'
_cell_length_a 7.482
_cell_length_b 7.482
_cell_length_c 11.870
_cell_angle_alpha 90.00
_cell_angle_beta 90.00
_cell_angle_gamma 90.00
_space_group_name_H-M_alt 'P 42/m n m'
_space_group_IT_number 136
_space_group_name_Hall '-P 4n 2n'
loop_
_atom_site_label
_atom_site_type_symbol
_atom_site_fract_x
_atom_site_fract_y
_atom_site_fract_z
Rb1 Rb 0.000 0.500 0.250
Pt1 Pt 0.000 0.000 0.000
I1 I 0.000 0.000 0.222
I2 I 0.250 0.250 0.000
```

PtSI4: calculated PXRD pattern (copper Kα), based on a structure optimized by DFT (PBE).

Top 10 peaks for 2θ from 10° to 90°, by angle:
2θ/deg, I_rel, (hkl)
11.26, 71.2, 1 1 0
15.64, 78.9, 0 2 0
16.26, 53.6, 2 0 0
25.75, 100.0, 3 1 0
27.97, 71.6, 0 2 1
34.22, 46.4, 1 3 1
34.82, 34.5, 3 1 1
39.45, 36.9, 0 4 1
41.68, 96.6, 3 3 1
54.44, 25.4, 3 1 2

Atomic structure:
```
data_PtSI4
_chemical_formula_sum 'Pt2 S2 I8'
_cell_length_a 10.901
_cell_length_b 11.334
_cell_length_c 3.860
_cell_angle_alpha 90.00
_cell_angle_beta 90.00
_cell_angle_gamma 90.00
_space_group_name_H-M_alt 'C m m m'
_space_group_IT_number 65
_space_group_name_Hall '-C 2 2'
loop_
_atom_site_label
_atom_site_type_symbol
_atom_site_fract_x
_atom_site_fract_y
_atom_site_fract_z
Pt1 Pt 0.000 0.000 0.000
S1 S 0.000 0.500 0.500
I1 I 0.000 0.158 0.500
I2 I 0.177 0.500 0.000
```

Tl2PtI6: calculated PXRD pattern (copper Kα), based on a structure optimized by DFT (PBE).

Top 10 peaks for 2θ from 10° to 90°, by angle:
2θ/deg, I_rel, (hkl)
13.83, 28.9, 1 0 1
22.75, 20.2, 1 1 2
27.86, 100.0, 2 0 2
32.04, 67.6, 2 2 0
32.75, 32.2, 0 0 4
45.94, 24.6, 4 0 0
46.47, 48.0, 2 2 4
54.58, 29.7, 4 2 2
57.56, 25.1, 4 0 4
85.43, 16.4, 6 2 4

Atomic structure:
```
data_Tl2PtI6
_chemical_formula_sum 'Tl4 Pt2 I12'
_cell_length_a 7.902
_cell_length_b 7.902
_cell_length_c 10.937
_cell_angle_alpha 90.00
_cell_angle_beta 90.00
_cell_angle_gamma 90.00
_space_group_name_H-M_alt 'I 4/m m m'
_space_group_IT_number 139
_space_group_name_Hall '-I 4 2'
loop_
_atom_site_label
_atom_site_type_symbol
_atom_site_fract_x
_atom_site_fract_y
_atom_site_fract_z
Tl1 Tl 0.000 0.500 0.250
Pt1 Pt 0.000 0.000 0.000
I1 I 0.000 0.000 0.246
I2 I 0.241 0.241 0.000
```

PuI4: calculated PXRD pattern (copper Kα), based on a structure optimized by DFT (PBE).

Top 10 peaks for 2θ from 10° to 90°, by angle:
2θ/deg, I_rel, (hkl)
12.07, 48.9, 1 0 0
15.67, 23.3, 1 1 0
15.89, 33.7, 0 1 1
17.12, 25.8, 1 1 -1
24.42, 20.0, 1 2 -1
28.00, 51.4, 2 0 -2
28.54, 100.0, 1 2 1
40.03, 38.7, 3 2 -1
40.79, 35.3, 1 2 -3
50.04, 19.0, 2 4 -2

Atomic structure:
```
data_PuI4
_chemical_formula_sum 'Pu2 I8'
_cell_length_a 7.839
_cell_length_b 8.888
_cell_length_c 7.656
_cell_angle_alpha 90.00
_cell_angle_beta 110.73
_cell_angle_gamma 90.00
_space_group_name_H-M_alt 'P 1 2/c 1'
_space_group_IT_number 13
loop_
_space_group_symop_operation_xyz
'x,y,z'
'-x,-y,-z'
'-x,y,-z+1/2'
'x,-y,z+1/2'
loop_
_atom_site_label
_atom_site_type_symbol
_atom_site_fract_x
_atom_site_fract_y
_atom_site_fract_z
Pu1 Pu 0.000 0.136 0.250
I1 I 0.231 0.115 0.002
I2 I 0.248 0.362 0.473
```

TbPuSbI2: calculated PXRD pattern (copper Kα), based on a structure optimized by DFT (PBE).

Top 10 peaks for 2θ from 10° to 90°, by angle:
2θ/deg, I_rel, (hkl)
23.43, 11.1, 1 0 0
28.26, 100.0, 1 0 2
33.40, 10.9, 1 0 3
39.60, 37.1, 0 1 4
41.18, 33.9, 1 1 0
50.70, 20.0, 0 2 2
58.46, 12.2, 2 0 4
65.05, 16.5, 1 1 6
67.29, 17.2, 2 1 2
73.99, 11.9, 1 2 4

Atomic structure:
```
data_TbPuSbI2
_chemical_formula_sum 'Tb1 Pu1 Sb1 I2'
_cell_length_a 4.3844
_cell_length_b 4.3844
_cell_length_c 11.3709
_cell_angle_alpha 90.00
_cell_angle_beta 90.00
_cell_angle_gamma 120.00
_space_group_name_H-M_alt 'P 3 m 1'
_space_group_IT_number 156
loop_
_space_group_symop_operation_xyz
'x,y,z'
'-y,x-y,z'
'-x+y,-x,z'
'-y,-x,z'
'-x+y,y,z'
'x,x-y,z'
loop_
_atom_site_label
_atom_site_type_symbol
_atom_site_fract_x
_atom_site_fract_y
_atom_site_fract_z
Tb1 Tb 0.0000 0.0000 0.0000
Pu1 Pu 0.3333 0.6667 0.3096
Sb1 Sb 0.6667 0.3333 0.1494
I1 I 0.0000 0.0000 0.4780
I2 I 0.3333 0.6667 0.8305
```

YPuI6: calculated PXRD pattern (copper Kα), based on a structure optimized by DFT (PBE).

Top 10 peaks for 2θ from 10° to 90°, by angle:
2θ/deg, I_rel, (hkl)
12.14, 38.6, 0 0 1
13.80, 24.6, 1 1 0
23.35, 20.8, 2 0 -1
24.40, 49.2, 0 0 2
28.19, 100.0, 1 3 1
28.37, 48.9, 2 0 -2
40.29, 37.3, 2 0 2
40.42, 73.4, 1 3 -3
50.05, 29.8, 0 0 4
73.39, 20.3, 1 3 5

Atomic structure:
```
data_YPuI6
_chemical_formula_sum 'Y2 Pu2 I12'
_cell_length_a 7.735
_cell_length_b 13.417
_cell_length_c 7.713
_cell_angle_alpha 90.00
_cell_angle_beta 109.08
_cell_angle_gamma 90.00
_space_group_name_H-M_alt 'C 1 2 1'
_space_group_IT_number 5
loop_
_space_group_symop_operation_xyz
'x,y,z'
'-x,y,-z'
'x+1/2,y+1/2,z'
'-x+1/2,y+1/2,-z'
loop_
_atom_site_label
_atom_site_type_symbol
_atom_site_fract_x
_atom_site_fract_y
_atom_site_fract_z
Y1 Y 0.000 0.000 0.000
Pu1 Pu 0.000 0.332 0.000
I1 I 0.226 0.163 0.247
I2 I 0.242 0.993 0.758
I3 I 0.248 0.843 0.242
```

Rb3Re3S4I4: calculated PXRD pattern (copper Kα), based on a structure optimized by DFT (PBE).

Top 10 peaks for 2θ from 10° to 90°, by angle:
2θ/deg, I_rel, (hkl)
11.13, 98.5, 2 0 0
22.38, 100.0, 4 0 0
27.49, 27.8, 4 2 2
31.85, 46.4, 4 4 0
33.84, 66.4, 4 4 2
40.54, 43.1, 7 1 1
43.75, 65.5, 5 5 3
45.67, 36.5, 8 0 0
47.16, 32.4, 6 4 4
51.42, 26.7, 8 4 0

Atomic structure:
```
data_Rb3Re3S4I4
_chemical_formula_sum 'Rb24 Re24 S32 I32'
_cell_length_a 15.893
_cell_length_b 15.893
_cell_length_c 15.893
_cell_angle_alpha 90.00
_cell_angle_beta 90.00
_cell_angle_gamma 90.00
_space_group_name_H-M_alt 'F m -3 m'
_space_group_IT_number 225
_space_group_name_Hall '-F 4 2 3'
loop_
_atom_site_label
_atom_site_type_symbol
_atom_site_fract_x
_atom_site_fract_y
_atom_site_fract_z
Rb1 Rb 0.000 0.250 0.250
Re1 Re 0.000 0.000 0.116
S1 S 0.108 0.108 0.108
I1 I 0.000 0.000 0.292
I2 I 0.250 0.250 0.250
```